# MnNbGe
Calculated PXRD pattern, Cu Kα (λ = 1.5418 Å). Input: a crystal structure in the Materials Project, relaxed with PBE.
No peak broadening, texture or thermal motion is included.

Atomic structure:
```
data_MnNbGe
_chemical_formula_sum 'Mn3 Nb3 Ge3'
_symmetry_space_group_name_H-M 'P -6 2 m'
_symmetry_Int_Tables_number 189
_symmetry_space_group_name_Hall 'P -6 -2'
_cell_length_a 6.5823
_cell_length_b 6.5823
_cell_length_c 3.6457
_cell_angle_alpha 90.00
_cell_angle_beta 90.00
_cell_angle_gamma 120.00
loop_
_atom_site_label
_atom_site_fract_x
_atom_site_fract_y
_atom_site_fract_z
Mn1 0.0000 0.7492 0.0000
Nb1 0.0000 0.4169 0.5000
Ge1 0.0000 0.0000 0.5000
Ge2 0.3333 0.6667 0.0000
```

Main lines, in order of rising 2θ (10° ≤ 2θ ≤ 90°):
2θ (°)  d [Å]  Rel. int.
36.79  2.443  83
40.16  2.245  100
41.93  2.155  37
47.87  1.900  27
49.12  1.855  21
50.04  1.823  25
67.28  1.392  17
77.55  1.231  23

# Ce2Ge6Pt
Calculated PXRD pattern, Cu Kα (λ = 1.5418 Å). Input: a crystal structure in the Materials Project, relaxed with PBE.
No peak broadening, texture or thermal motion is included.

Atomic structure:
```
data_Ce2Ge6Pt
_chemical_formula_sum 'Ce4 Ge12 Pt2'
_symmetry_space_group_name_H-M 'A m m 2'
_symmetry_Int_Tables_number 38
_cell_length_a 4.1734
_cell_length_b 4.1467
_cell_length_c 22.1340
_cell_angle_alpha 90.00
_cell_angle_beta 90.00
_cell_angle_gamma 90.00
loop_
_symmetry_equiv_pos_as_xyz
'x,y,z'
'-x,-y,z'
'-x,y,z'
'x,-y,z'
'x,y+1/2,z+1/2'
'-x,-y+1/2,z+1/2'
'-x,y+1/2,z+1/2'
'x,-y+1/2,z+1/2'
loop_
_atom_site_label
_atom_site_fract_x
_atom_site_fract_y
_atom_site_fract_z
Ce1 0.0000 0.0000 0.0000
Ce2 0.0000 0.0000 0.3350
Ge1 0.0000 0.0000 0.6020
Ge2 0.0000 0.0000 0.7150
Ge3 0.5000 0.0000 0.1019
Ge4 0.5000 0.0000 0.2147
Ge5 0.5000 0.0000 0.4569
Ge6 0.5000 0.0000 0.8898
Pt1 0.5000 0.0000 0.7789
```

Main lines, in order of rising 2θ (10° ≤ 2θ ≤ 90°):
2θ (°)  d [Å]  Rel. int.
32.39  2.764  31
32.78  2.732  100
41.95  2.154  20
42.75  2.115  22
43.36  2.087  24
43.66  2.073  24
55.38  1.659  17
63.22  1.471  16

# Al2CoOs
Calculated PXRD pattern, Cu Kα (λ = 1.5418 Å). Input: a crystal structure in the Materials Project, relaxed with PBE.
No peak broadening, texture or thermal motion is included.

Atomic structure:
```
data_Al2CoOs
_chemical_formula_sum 'Al8 Co4 Os4'
_symmetry_space_group_name_H-M 'F m -3 m'
_symmetry_Int_Tables_number 225
_symmetry_space_group_name_Hall '-F 4 2 3'
_cell_length_a 5.9144
_cell_length_b 5.9144
_cell_length_c 5.9144
_cell_angle_alpha 90.00
_cell_angle_beta 90.00
_cell_angle_gamma 90.00
loop_
_atom_site_label
_atom_site_fract_x
_atom_site_fract_y
_atom_site_fract_z
Al1 0.2500 0.2500 0.2500
Co1 0.0000 0.0000 0.0000
Os1 0.0000 0.0000 0.5000
```

Main lines, in order of rising 2θ (10° ≤ 2θ ≤ 90°):
2θ (°)  d [Å]  Rel. int.
26.10  3.415  42
30.22  2.957  55
43.27  2.091  100
51.23  1.783  22
53.68  1.707  15
62.85  1.479  16
71.31  1.323  19
79.37  1.207  33

# NdTmIn2
Calculated PXRD pattern, Cu Kα (λ = 1.5418 Å). Input: a crystal structure in the Materials Project, relaxed with PBE.
No peak broadening, texture or thermal motion is included.

Atomic structure:
```
data_NdTmIn2
_chemical_formula_sum 'Nd4 Tm4 In8'
_symmetry_space_group_name_H-M 'F m -3 m'
_symmetry_Int_Tables_number 225
_symmetry_space_group_name_Hall '-F 4 2 3'
_cell_length_a 7.6068
_cell_length_b 7.6068
_cell_length_c 7.6068
_cell_angle_alpha 90.00
_cell_angle_beta 90.00
_cell_angle_gamma 90.00
loop_
_atom_site_label
_atom_site_fract_x
_atom_site_fract_y
_atom_site_fract_z
Nd1 0.0000 0.0000 0.0000
Tm1 0.0000 0.0000 0.5000
In1 0.2500 0.2500 0.2500
```

Main lines, in order of rising 2θ (10° ≤ 2θ ≤ 90°):
2θ (°)  d [Å]  Rel. int.
23.39  3.803  2
33.32  2.689  100
47.83  1.902  18
53.90  1.701  1
59.54  1.553  37
69.96  1.345  11
79.73  1.203  16
89.20  1.098  4

# Tm2CoOs
Calculated PXRD pattern, Cu Kα (λ = 1.5418 Å). Input: a crystal structure in the Materials Project, relaxed with PBE.
No peak broadening, texture or thermal motion is included.

Atomic structure:
```
data_Tm2CoOs
_chemical_formula_sum 'Tm8 Co4 Os4'
_symmetry_space_group_name_H-M 'F m -3 m'
_symmetry_Int_Tables_number 225
_symmetry_space_group_name_Hall '-F 4 2 3'
_cell_length_a 6.6786
_cell_length_b 6.6786
_cell_length_c 6.6786
_cell_angle_alpha 90.00
_cell_angle_beta 90.00
_cell_angle_gamma 90.00
loop_
_atom_site_label
_atom_site_fract_x
_atom_site_fract_y
_atom_site_fract_z
Tm1 0.2500 0.2500 0.2500
Co1 0.0000 0.0000 0.0000
Os1 0.0000 0.0000 0.5000
```

Main lines, in order of rising 2θ (10° ≤ 2θ ≤ 90°):
2θ (°)  d [Å]  Rel. int.
23.07  3.856  11
26.70  3.339  3
38.11  2.361  100
45.02  2.014  6
55.00  1.670  17
60.42  1.532  3
68.87  1.363  35
81.53  1.181  11

# K2AlHgCl6
Calculated PXRD pattern, Cu Kα (λ = 1.5418 Å). Input: a crystal structure in the Materials Project, relaxed with PBE.
No peak broadening, texture or thermal motion is included.

Atomic structure:
```
data_K2AlHgCl6
_chemical_formula_sum 'K8 Al4 Hg4 Cl24'
_symmetry_space_group_name_H-M 'F m -3 m'
_symmetry_Int_Tables_number 225
_symmetry_space_group_name_Hall '-F 4 2 3'
_cell_length_a 10.4678
_cell_length_b 10.4678
_cell_length_c 10.4678
_cell_angle_alpha 90.00
_cell_angle_beta 90.00
_cell_angle_gamma 90.00
loop_
_atom_site_label
_atom_site_fract_x
_atom_site_fract_y
_atom_site_fract_z
K1 0.2500 0.2500 0.2500
Al1 0.0000 0.0000 0.0000
Hg1 0.0000 0.0000 0.5000
Cl1 0.0000 0.0000 0.2250
```

Main lines, in order of rising 2θ (10° ≤ 2θ ≤ 90°):
2θ (°)  d [Å]  Rel. int.
14.66  6.044  59
16.94  5.234  95
24.05  3.701  100
28.28  3.156  75
34.27  2.617  89
37.45  2.401  56
38.46  2.341  43
49.24  1.850  56

# MgTe4Pb6Br4O12
Calculated PXRD pattern, Cu Kα (λ = 1.5418 Å). Input: a crystal structure in the Materials Project, relaxed with PBE.
No peak broadening, texture or thermal motion is included.

Atomic structure:
```
data_MgTe4Pb6Br4O12
_chemical_formula_sum 'Mg1 Te4 Pb6 Br4 O12'
_symmetry_space_group_name_H-M 'P 1'
_symmetry_Int_Tables_number 1
_cell_length_a 5.7967
_cell_length_b 9.5046
_cell_length_c 12.1397
_cell_angle_alpha 104.76
_cell_angle_beta 90.75
_cell_angle_gamma 106.79
loop_
_symmetry_equiv_pos_as_xyz
'x,y,z'
loop_
_atom_site_label
_atom_site_fract_x
_atom_site_fract_y
_atom_site_fract_z
Mg1 0.0000 0.0000 0.0000
Te1 0.2509 0.4172 0.4578
Te2 0.5587 0.9842 0.6451
Te3 0.8117 0.4966 0.9640
Te4 0.9733 0.8293 0.1590
Pb1 0.0853 0.0373 0.4531
Pb2 0.1878 0.2280 0.8213
Pb3 0.3839 0.6556 0.8613
Pb4 0.4442 0.7592 0.3068
Pb5 0.6282 0.1658 0.2710
Pb6 0.7720 0.3783 0.6500
Br1 0.1977 0.2758 0.1231
Br2 0.5817 0.0416 0.9679
Br3 0.8619 0.6503 0.4320
Br4 0.9822 0.8437 0.7912
O1 0.0088 0.4318 0.8320
O2 0.1176 0.6656 0.0093
O3 0.2538 0.4703 0.6173
O4 0.2847 0.9496 0.2731
O5 0.3927 0.1328 0.6630
O6 0.4208 0.2675 0.4386
O7 0.5161 0.9324 0.4843
O8 0.5549 0.4349 0.8321
O9 0.6643 0.6650 0.0143
O10 0.7721 0.9423 0.2698
O11 0.8663 0.1349 0.6603
O12 0.9443 0.2600 0.4313
```

Main lines, in order of rising 2θ (10° ≤ 2θ ≤ 90°):
2θ (°)  d [Å]  Rel. int.
10.86  8.145  69
23.13  3.846  52
26.73  3.335  69
27.06  3.296  64
28.58  3.123  53
28.75  3.105  70
29.18  3.061  100
30.86  2.898  82

# Te3Pt2
Calculated PXRD pattern, Cu Kα (λ = 1.5418 Å). Input: a crystal structure in the Materials Project, relaxed with PBE.
No peak broadening, texture or thermal motion is included.

Atomic structure:
```
data_Te3Pt2
_chemical_formula_sum 'Te12 Pt8'
_symmetry_space_group_name_H-M 'C 1 2/m 1'
_symmetry_Int_Tables_number 12
_cell_length_a 7.0323
_cell_length_b 4.0577
_cell_length_c 17.7299
_cell_angle_alpha 90.00
_cell_angle_beta 97.34
_cell_angle_gamma 90.00
loop_
_symmetry_equiv_pos_as_xyz
'x,y,z'
'-x,-y,-z'
'-x,y,-z'
'x,-y,z'
'x+1/2,y+1/2,z'
'-x+1/2,-y+1/2,-z'
'-x+1/2,y+1/2,-z'
'x+1/2,-y+1/2,z'
loop_
_atom_site_label
_atom_site_fract_x
_atom_site_fract_y
_atom_site_fract_z
Te1 0.0362 0.0000 0.1112
Te2 0.1488 0.0000 0.4271
Te3 0.2345 0.0000 0.7293
Pt1 0.0423 0.5000 0.6501
Pt2 0.1530 0.5000 0.9579
```

Main lines, in order of rising 2θ (10° ≤ 2θ ≤ 90°):
2θ (°)  d [Å]  Rel. int.
15.12  5.862  42
30.53  2.928  100
30.62  2.920  49
41.40  2.181  23
42.92  2.107  22
44.65  2.029  63
55.12  1.666  20
57.06  1.614  16

# MgSb4O10
Calculated PXRD pattern, Cu Kα (λ = 1.5418 Å). Input: a crystal structure in the Materials Project, relaxed with PBE.
No peak broadening, texture or thermal motion is included.

Atomic structure:
```
data_MgSb4O10
_chemical_formula_sum 'Mg1 Sb4 O10'
_symmetry_space_group_name_H-M 'P -1'
_symmetry_Int_Tables_number 2
_cell_length_a 5.4276
_cell_length_b 5.4283
_cell_length_c 8.2294
_cell_angle_alpha 103.01
_cell_angle_beta 108.96
_cell_angle_gamma 95.40
loop_
_symmetry_equiv_pos_as_xyz
'x,y,z'
'-x,-y,-z'
loop_
_atom_site_label
_atom_site_fract_x
_atom_site_fract_y
_atom_site_fract_z
Mg1 0.0000 0.0000 0.0000
Sb1 0.1928 0.5816 0.2030
Sb2 0.3109 0.8198 0.6846
O1 0.0172 0.7391 0.7745
O2 0.1492 0.3362 0.9626
O3 0.1722 0.7936 0.4285
O4 0.3565 0.9081 0.1632
O5 0.4536 0.5028 0.6827
```

Main lines, in order of rising 2θ (10° ≤ 2θ ≤ 90°):
2θ (°)  d [Å]  Rel. int.
22.20  4.004  100
23.76  3.745  62
24.01  3.706  51
24.38  3.650  87
33.05  2.710  26
33.23  2.696  65
33.96  2.640  42
45.26  2.004  25

# GdB6
Calculated PXRD pattern, Cu Kα (λ = 1.5418 Å). Input: a crystal structure in the Materials Project, relaxed with PBE.
No peak broadening, texture or thermal motion is included.

Atomic structure:
```
data_GdB6
_chemical_formula_sum 'Gd1 B6'
_symmetry_space_group_name_H-M 'P m -3 m'
_symmetry_Int_Tables_number 221
_symmetry_space_group_name_Hall '-P 4 2 3'
_cell_length_a 4.1103
_cell_length_b 4.1103
_cell_length_c 4.1103
_cell_angle_alpha 90.00
_cell_angle_beta 90.00
_cell_angle_gamma 90.00
loop_
_atom_site_label
_atom_site_fract_x
_atom_site_fract_y
_atom_site_fract_z
Gd1 0.0000 0.0000 0.0000
B1 0.1990 0.5000 0.5000
```

Main lines, in order of rising 2θ (10° ≤ 2θ ≤ 90°):
2θ (°)  d [Å]  Rel. int.
21.62  4.110  68
30.76  2.906  100
37.91  2.373  42
44.06  2.055  21
49.59  1.838  50
54.70  1.678  28
68.48  1.370  28
72.76  1.300  20